Computed powder X-ray diffraction pattern of Sb3Br2F16 for Cu Ka, from a crystal structure in the Materials Project, relaxed with GGA-PBE.
Kinematic intensities with the Lorentz-polarization factor, no thermal factor.

```
Sb3Br2F16
1.0
6.832 -3.931 0.000
6.832 3.931 0.000
-1.163 0.000 14.766
Sb Br F
6 4 32
Direct
0.000 0.500 0.500 Sb
0.014 0.729 0.879 Sb
0.271 0.986 0.621 Sb
0.500 0.000 0.000 Sb
0.729 0.014 0.379 Sb
0.986 0.271 0.121 Sb
0.266 0.597 0.203 Br
0.403 0.734 0.297 Br
0.597 0.266 0.703 Br
0.734 0.403 0.797 Br
0.013 0.970 0.879 F
0.030 0.987 0.621 F
0.032 0.486 0.109 F
0.123 0.211 0.524 F
0.162 0.436 0.400 F
0.172 0.197 0.709 F
0.184 0.652 0.983 F
0.194 0.515 0.577 F
0.197 0.172 0.209 F
0.211 0.123 0.024 F
0.215 0.593 0.795 F
0.348 0.816 0.517 F
0.407 0.785 0.705 F
0.436 0.162 0.900 F
0.485 0.806 0.923 F
0.486 0.032 0.609 F
0.514 0.968 0.391 F
0.515 0.194 0.077 F
0.564 0.838 0.100 F
0.593 0.215 0.295 F
0.652 0.184 0.483 F
0.785 0.407 0.205 F
0.789 0.877 0.976 F
0.803 0.828 0.791 F
0.806 0.485 0.423 F
0.816 0.348 0.017 F
0.828 0.803 0.291 F
0.838 0.564 0.600 F
0.877 0.789 0.476 F
0.968 0.514 0.891 F
0.970 0.013 0.379 F
0.987 0.030 0.121 F
```

Main lines, in order of falling intensity (2θ = 10–90°):
2theta	d (Å)	I (rel.)
21.86	4.066	100
23.01	3.866	70
18.40	4.821	69
17.37	5.106	41
23.42	3.799	33
22.63	3.930	27
27.07	3.294	21
39.61	2.275	19
36.81	2.442	15
13.00	6.810	13
41.24	2.189	12
24.92	3.573	11